Structure and simulated PXRD pattern of La8CoSi3Br4 (a PBE-relaxed structure; CuKα).
Peak positions follow from Bragg's law for the DFT cell and can differ from measured ones.

Cell and atoms:
```
La8CoSi3Br4
1.0
7.5747 -4.3054 0.0000
7.5747 4.3054 0.0000
-5.0251 0.0000 7.4194
La Co Si Br
8 1 3 4
direct
0.2191 0.7588 0.6990
0.2412 0.7809 0.3010
0.2426 0.2426 0.7205
0.2605 0.2605 0.2804
0.7395 0.7395 0.7196
0.7574 0.7574 0.2795
0.7588 0.2191 0.6990
0.7809 0.2412 0.3010
0.0000 0.0000 0.5000
0.0000 0.5000 0.5000
0.5000 0.0000 0.5000
0.5000 0.5000 0.5000
0.0000 0.0000 0.0000
0.0000 0.5000 0.0000
0.5000 0.0000 0.0000
0.5000 0.5000 0.0000
```

Main lines, by angle (2θ = 10–80°):
2θ/deg	I (rel.)
24.86	11
25.09	22
28.46	56
28.77	100
31.19	12
40.34	47
41.46	40
41.97	19
51.49	19
67.63	11